This entry pairs a crystal structure of Na2TmB2O6 with its calculated powder X-ray diffraction pattern. Radiation: Cu Ka. Structure: a cell relaxed with GGA-PBE.

The 10 most intense peaks (2θ = 5–70°), in order of rising 2θ:
- 14.48 deg, rel. 521
- 19.32 deg, rel. 443
- 24.22 deg, rel. 1000
- 33.79 deg, rel. 266
- 35.24 deg, rel. 477
- 36.93 deg, rel. 238
- 42.01 deg, rel. 267
- 45.24 deg, rel. 163
- 49.62 deg, rel. 189
- 54.96 deg, rel. 238

Atomic structure:
Cell lengths 5.305, 5.305, 6.119 Å; angles 90.00, 90.00, 120.00 degrees
Sites, in units of the cell vectors:
Na1 0.333 0.667 0.338
Na2 0.667 0.333 0.662
Tm1 0.000 0.000 0.000
B1 0.333 0.667 0.794
B2 0.667 0.333 0.206
O1 0.108 0.383 0.787
O2 0.275 0.892 0.787
O3 0.383 0.275 0.213
O4 0.617 0.725 0.787
O5 0.725 0.108 0.213
O6 0.892 0.617 0.213